1.
Structure and simulated powder X-ray diffraction pattern of Rb2O (a DFT-relaxed cell (PBE, the Materials Project); copper Kα).
No peak broadening, texture or thermal motion is included.

Principal peaks in the range 2θ = 5–70°, sorted by position:
Position (°2θ)  I (rel.)
14.92  17
25.80  100
30.09  18
31.20  86
41.77  41
42.96  11
47.50  20
49.75  17
52.34  23
53.05  18
66.92  14
69.70  16

Cell and atoms:
Cell lengths 4.3250, 4.3250, 17.8170 Å; angles 90.00, 90.00, 120.00 degrees
Space group R-3m (No. 166, hexagonal axes)
Symmetry-distinct sites (fractional):
Rb (0.0000, 0.0000, 0.2382) (multiplicity 6)
O (0.0000, 0.0000, 0.5000) (multiplicity 3)

***

2.
Structure and simulated powder X-ray diffraction pattern of Mg6SnC (a DFT-relaxed cell (PBE, the Materials Project); copper Kα).
No peak broadening, texture or thermal motion is included.

Principal peaks in the range 2θ = 5–70°, sorted by position:
Position (°2θ)  I (rel.)
14.38  38
16.58  41
19.36  28
24.20  30
25.60  61
26.40  39
29.00  25
33.53  33
35.10  61
39.01  100
39.30  32
69.11  26

Cell and atoms:
Cell lengths 4.5853, 5.9334, 12.3167 Å; angles 90.00, 90.00, 90.00 degrees
Space group Amm2 (No. 38)
Symmetry-distinct sites (fractional):
Mg (0.0000, 0.0000, 0.0000) (multiplicity 2)
Mg (0.0000, 0.2251, 0.2770) (multiplicity 4)
Mg (0.5000, 0.0000, 0.8526) (multiplicity 2)
Mg (0.5000, 0.2458, 0.1114) (multiplicity 4)
Sn (0.0000, 0.0000, 0.5225) (multiplicity 2)
C (0.5000, 0.0000, 0.2475) (multiplicity 2)